Entry 1:
Diffraction record for LiMnPO4. The PXRD pattern is computed, not measured: it uses a crystal structure in the Materials Project, relaxed with PBE+U and Cu Ka.

Crystal structure
```
data_LiMnPO4
_chemical_formula_sum 'Li4 Mn4 P4 O16'
_space_group_name_H-M_alt 'C m c m'
_space_group_IT_number 63
_space_group_name_Hall '-C 2c 2'
_cell_length_a 5.6370
_cell_length_b 8.4744
_cell_length_c 6.4074
_cell_angle_alpha 90.00
_cell_angle_beta 90.00
_cell_angle_gamma 90.00
loop_
_atom_site_label
_atom_site_fract_x
_atom_site_fract_y
_atom_site_fract_z
Li1 0.0000 0.0000 0.0000
Mn1 0.0000 0.3183 0.2500
P1 0.0000 0.3511 0.7500
O1 0.0000 0.2423 0.5557
O2 0.2221 0.4620 0.7500
```

Largest 8 diffraction maxima, in order of rising 2θ, 5 to 70 degrees two-theta:
2θ 18.9, I = 100.0
2θ 21.0, I = 45.1
2θ 27.8, I = 89.2
2θ 31.7, I = 67.8
2θ 33.9, I = 73.3
2θ 35.5, I = 68.7
2θ 38.4, I = 95.5
2θ 45.7, I = 60.7

***

Entry 2:
Diffraction record for LiMnPO4. The PXRD pattern is computed, not measured: it uses a crystal structure in the Materials Project, relaxed with PBE+U and Cu Ka.

Crystal structure
```
data_LiMnPO4
_chemical_formula_sum 'Li4 Mn4 P4 O16'
_space_group_name_H-M_alt 'P n a 21'
_space_group_IT_number 33
_space_group_name_Hall 'P 2c -2n'
_cell_length_a 8.1106
_cell_length_b 8.6043
_cell_length_c 5.3099
_cell_angle_alpha 90.00
_cell_angle_beta 90.00
_cell_angle_gamma 90.00
loop_
_atom_site_label
_atom_site_fract_x
_atom_site_fract_y
_atom_site_fract_z
Li1 0.0360 0.1959 0.0000
Mn1 0.1728 0.5593 0.1314
P1 0.2488 0.4252 0.6685
O1 0.0712 0.4158 0.7976
O2 0.1355 0.9413 0.3998
O3 0.2200 0.7817 0.0041
O4 0.2397 0.0737 0.0023
```

Largest 8 diffraction maxima, in order of rising 2θ, 5 to 70 degrees two-theta:
2θ 15.0, I = 39.9
2θ 19.6, I = 71.8
2θ 20.6, I = 85.2
2θ 21.9, I = 100.0
2θ 27.7, I = 30.7
2θ 29.6, I = 27.1
2θ 35.6, I = 59.0
2θ 49.3, I = 24.8

***

Entry 3:
Diffraction record for LiMnPO4. The PXRD pattern is computed, not measured: it uses a crystal structure in the Materials Project, relaxed with PBE+U and Cu Ka.

Crystal structure
```
data_LiMnPO4
_chemical_formula_sum 'Li8 Mn8 P8 O32'
_space_group_name_H-M_alt 'C 1 2/c 1'
_space_group_IT_number 15
_space_group_name_Hall '-C 2yc'
_cell_length_a 8.3762
_cell_length_b 6.0141
_cell_length_c 16.1619
_cell_angle_alpha 90.00
_cell_angle_beta 93.24
_cell_angle_gamma 90.00
loop_
_atom_site_label
_atom_site_fract_x
_atom_site_fract_y
_atom_site_fract_z
Li1 0.2446 0.0268 0.2514
Mn1 0.1466 0.2734 0.0840
P1 0.0156 0.2267 0.8690
O1 0.0838 0.0126 0.6470
O2 0.0926 0.4341 0.6447
O3 0.0981 0.2289 0.9583
O4 0.1586 0.2311 0.8112
```

Largest 8 diffraction maxima, in order of rising 2θ, 5 to 70 degrees two-theta:
2θ 18.8, I = 100.0
2θ 22.0, I = 32.8
2θ 23.4, I = 13.7
2θ 29.7, I = 17.8
2θ 31.7, I = 17.4
2θ 32.8, I = 15.1
2θ 38.6, I = 16.2
2θ 44.0, I = 14.4